No. 1
Starting from a DFT-relaxed cell (PBE+U, the Materials Project), the powder diffraction line list of Li3CrFe4O8 was computed for a wavelength of 1.5418 Å.

Atomic structure:
a b c (Å): 5.9967 5.9967 6.0703
angles (deg): 120.12 120.12 59.98
Element x y z (fractional)
Li (0.0000, 0.0000, 0.0000)
Li (0.0000, 0.5000, 0.5000)
Li (0.5000, 0.0000, 0.5000)
Cr (0.5000, 0.5000, 0.5000)
Fe (0.0000, 0.0000, 0.5000)
Fe (0.0000, 0.5000, 0.0000)
Fe (0.5000, 0.0000, 0.0000)
Fe (0.5000, 0.5000, 0.0000)
O (0.2477, 0.2477, 0.7540)
O (0.2483, 0.7479, 0.7296)
O (0.2521, 0.7517, 0.2704)
O (0.2607, 0.2607, 0.2429)
O (0.7393, 0.7393, 0.7571)
O (0.7479, 0.2483, 0.7296)
O (0.7517, 0.2521, 0.2704)
O (0.7523, 0.7523, 0.2460)

Principal peaks in the range 10 to 90 degrees two-theta, low angle first:
18.05 deg, intensity 91.1
35.00 deg, intensity 36.3
36.32 deg, intensity 13.2
36.53 deg, intensity 13.2
36.74 deg, intensity 25.1
42.38 deg, intensity 100.0
42.72 deg, intensity 49.0
61.06 deg, intensity 13.9
61.60 deg, intensity 27.8
61.90 deg, intensity 40.8

No. 2
Starting from a DFT-relaxed cell (PBE+U, the Materials Project), the powder diffraction line list of Na5Fe3F14 was computed for a wavelength of 1.5418 Å.

Atomic structure:
a b c (Å): 7.5287 7.4288 12.8786
angles (deg): 90.00 124.78 90.00
Element x y z (fractional)
Na (0.0000, 0.0000, 0.0000)
Na (0.0000, 0.5000, 0.5000)
Na (0.0108, 0.2457, 0.7383)
Na (0.0108, 0.2543, 0.2383)
Na (0.4944, 0.6985, 0.2525)
Na (0.4944, 0.8015, 0.7525)
Na (0.5056, 0.1985, 0.2475)
Na (0.5056, 0.3015, 0.7475)
Na (0.9892, 0.7457, 0.7617)
Na (0.9892, 0.7543, 0.2617)
Fe (0.0000, 0.0000, 0.5000)
Fe (0.0000, 0.5000, 0.0000)
Fe (0.5000, 0.0000, 0.0000)
Fe (0.5000, 0.0000, 0.5000)
Fe (0.5000, 0.5000, 0.0000)
Fe (0.5000, 0.5000, 0.5000)
F (0.1139, 0.6625, 0.1428)
F (0.1139, 0.8375, 0.6428)
F (0.1441, 0.2087, 0.6090)
F (0.1441, 0.2913, 0.1090)
F (0.1847, 0.0058, 0.8816)
F (0.1847, 0.4942, 0.3816)
F (0.2494, 0.5735, 0.9972)
F (0.2494, 0.9265, 0.4972)
F (0.3125, 0.0596, 0.3241)
F (0.3125, 0.4404, 0.8241)
F (0.4512, 0.5640, 0.6283)
F (0.4512, 0.9360, 0.1283)
F (0.4934, 0.2473, 0.5538)
F (0.4934, 0.2527, 0.0538)
F (0.5066, 0.7473, 0.9462)
F (0.5066, 0.7527, 0.4462)
F (0.5488, 0.0640, 0.8717)
F (0.5488, 0.4360, 0.3717)
F (0.6875, 0.5596, 0.1759)
F (0.6875, 0.9404, 0.6759)
F (0.7506, 0.0735, 0.5028)
F (0.7506, 0.4265, 0.0028)
F (0.8153, 0.5058, 0.6184)
F (0.8153, 0.9942, 0.1184)
F (0.8559, 0.7087, 0.8910)
F (0.8559, 0.7913, 0.3910)
F (0.8861, 0.1625, 0.3572)
F (0.8861, 0.3375, 0.8572)

Principal peaks in the range 10 to 90 degrees two-theta, low angle first:
14.57 deg, intensity 25.3
16.76 deg, intensity 64.0
23.64 deg, intensity 26.8
23.95 deg, intensity 22.8
28.88 deg, intensity 40.0
29.38 deg, intensity 100.0
33.90 deg, intensity 31.3
48.38 deg, intensity 45.3
49.03 deg, intensity 40.2
57.90 deg, intensity 36.9

No. 3
Starting from a DFT-relaxed cell (PBE+U, the Materials Project), the powder diffraction line list of KSrGdWO6 was computed for a wavelength of 1.5418 Å.

Atomic structure:
a b c (Å): 8.3992 8.4005 8.4215
angles (deg): 90.00 90.00 90.00
Element x y z (fractional)
K (0.2500, 0.2500, 0.2500)
K (0.2500, 0.7500, 0.2500)
K (0.7500, 0.2500, 0.7500)
K (0.7500, 0.7500, 0.7500)
Sr (0.2500, 0.2500, 0.7500)
Sr (0.2500, 0.7500, 0.7500)
Sr (0.7500, 0.2500, 0.2500)
Sr (0.7500, 0.7500, 0.2500)
Gd (0.0000, 0.0000, 0.0000)
Gd (0.0000, 0.5000, 0.5000)
Gd (0.5000, 0.0000, 0.5000)
Gd (0.5000, 0.5000, 0.0000)
W (0.0000, 0.0000, 0.5000)
W (0.0000, 0.5000, 0.0000)
W (0.5000, 0.0000, 0.0000)
W (0.5000, 0.5000, 0.5000)
O (0.0201, 0.2302, 0.4769)
O (0.0201, 0.2698, 0.0231)
O (0.0338, 0.0218, 0.7310)
O (0.0338, 0.4782, 0.7690)
O (0.2300, 0.5246, 0.0144)
O (0.2300, 0.9754, 0.4856)
O (0.2700, 0.5246, 0.4856)
O (0.2700, 0.9754, 0.0144)
O (0.4662, 0.0218, 0.7690)
O (0.4662, 0.4782, 0.7310)
O (0.4799, 0.2302, 0.0231)
O (0.4799, 0.2698, 0.4769)
O (0.5201, 0.7302, 0.5231)
O (0.5201, 0.7698, 0.9769)
O (0.5338, 0.5218, 0.2690)
O (0.5338, 0.9782, 0.2310)
O (0.7300, 0.0246, 0.9856)
O (0.7300, 0.4754, 0.5144)
O (0.7700, 0.0246, 0.5144)
O (0.7700, 0.4754, 0.9856)
O (0.9662, 0.5218, 0.2310)
O (0.9662, 0.9782, 0.2690)
O (0.9799, 0.7302, 0.9769)
O (0.9799, 0.7698, 0.5231)

Principal peaks in the range 10 to 90 degrees two-theta, low angle first:
21.14 deg, intensity 36.2
30.06 deg, intensity 100.0
42.96 deg, intensity 10.1
43.08 deg, intensity 19.5
48.40 deg, intensity 10.8
53.39 deg, intensity 41.8
62.49 deg, intensity 17.8
70.95 deg, intensity 12.0
86.61 deg, intensity 11.1
86.72 deg, intensity 11.1

No. 4
Starting from a DFT-relaxed cell (PBE+U, the Materials Project), the powder diffraction line list of Ca2Mn2O5 was computed for a wavelength of 1.5418 Å.

Atomic structure:
a b c (Å): 8.5068 8.5068 8.5068
angles (deg): 54.64 141.66 142.59
Element x y z (fractional)
Ca (0.0208, 0.1073, 0.1281)
Ca (0.0208, 0.3927, 0.4135)
Ca (0.9792, 0.6073, 0.5865)
Ca (0.9792, 0.8927, 0.8719)
Mn (0.4761, 0.7856, 0.1905)
Mn (0.4921, 0.4921, 0.0000)
Mn (0.4921, 0.9921, 0.5000)
Mn (0.5951, 0.2856, 0.8095)
O (0.0115, 0.6591, 0.8524)
O (0.4208, 0.1100, 0.5732)
O (0.4208, 0.3476, 0.8109)
O (0.4974, 0.2309, 0.2395)
O (0.4974, 0.7579, 0.7664)
O (0.5368, 0.6100, 0.1891)
O (0.5368, 0.8476, 0.4268)
O (0.8066, 0.1591, 0.1476)
O (0.9914, 0.2579, 0.7605)
O (0.9914, 0.7309, 0.2336)

Principal peaks in the range 10 to 90 degrees two-theta, low angle first:
11.71 deg, intensity 18.2
32.04 deg, intensity 41.3
32.83 deg, intensity 48.8
32.99 deg, intensity 100.0
42.72 deg, intensity 13.8
46.53 deg, intensity 46.3
48.16 deg, intensity 28.6
57.72 deg, intensity 17.4
58.71 deg, intensity 20.0
69.21 deg, intensity 16.3